[1]
This entry pairs a crystal structure of Mn3Mo with its simulated PXRD pattern. Radiation: a wavelength of 1.5418 Å. Structure: the PBE geometry in Alexandria.

Atomic structure:
```
Mn3Mo
1.0
4.0874 0.0000 0.0000
0.0000 4.0874 0.0000
0.0000 0.0000 2.9961
Mn Mo
3 1
direct
0.0000 0.0000 0.0000 Mn
0.0000 0.5000 0.5000 Mn
0.5000 0.0000 0.5000 Mn
0.5000 0.5000 0.0000 Mo
```

Main lines, in order of rising 2θ (2θ = 10–90°):
2θ = 21.74°, I = 8; 2θ = 30.94°, I = 3; 2θ = 37.21°, I = 4; 2θ = 43.51°, I = 100; 2θ = 44.32°, I = 47; 2θ = 59.21°, I = 2; 2θ = 61.94°, I = 8; 2θ = 64.48°, I = 14; 2θ = 79.30°, I = 15; 2θ = 81.02°, I = 29

***

[2]
This entry pairs a crystal structure of Mn3MoN with its simulated PXRD pattern. Radiation: a wavelength of 1.5418 Å. Structure: the PBE geometry in Alexandria.

Atomic structure:
```
Mn3MoN
1.0
3.7765 0.0000 0.0000
0.0000 3.7765 0.0000
0.0000 0.0000 3.7765
Mn Mo N
3 1 1
direct
0.0000 0.0000 0.5000 Mn
0.0000 0.5000 0.0000 Mn
0.5000 0.0000 0.0000 Mn
0.5000 0.5000 0.5000 Mo
0.0000 0.0000 0.0000 N
```

Main lines, in order of rising 2θ (2θ = 10–90°):
2θ = 23.56°, I = 4; 2θ = 33.56°, I = 13; 2θ = 41.41°, I = 100; 2θ = 48.19°, I = 57; 2θ = 54.32°, I = 2; 2θ = 60.00°, I = 5; 2θ = 70.53°, I = 33; 2θ = 75.53°, I = 1; 2θ = 80.41°, I = 2; 2θ = 85.23°, I = 34

***

[3]
This entry pairs a crystal structure of MnMoN2 with its simulated PXRD pattern. Radiation: a wavelength of 1.5418 Å. Structure: the PBE geometry in Alexandria.

Atomic structure:
```
MnMoN2
1.0
2.8633 0.0000 0.0000
-1.4317 2.4797 0.0000
0.0000 0.0000 10.6743
Mn Mo N
2 2 4
direct
0.0000 0.0000 0.0000 Mn
0.0000 0.0000 0.5000 Mn
0.0000 0.0000 0.2500 Mo
0.0000 0.0000 0.7500 Mo
0.3333 0.6667 0.1213 N
0.3333 0.6667 0.3787 N
0.6667 0.3333 0.6213 N
0.6667 0.3333 0.8787 N
```

Main lines, in order of rising 2θ (2θ = 10–90°):
2θ = 16.61°, I = 18; 2θ = 33.58°, I = 32; 2θ = 36.23°, I = 96; 2θ = 40.10°, I = 13; 2θ = 50.22°, I = 100; 2θ = 65.16°, I = 24; 2θ = 75.33°, I = 19; 2θ = 76.89°, I = 10; 2θ = 82.01°, I = 17; 2θ = 86.57°, I = 20

***

[4]
This entry pairs a crystal structure of Mn21Mo2N6 with its simulated PXRD pattern. Radiation: a wavelength of 1.5418 Å. Structure: the PBE geometry in Alexandria.

Atomic structure:
```
Mn21Mo2N6
1.0
0.0000 5.2302 5.2302
5.2302 0.0000 5.2302
5.2302 5.2302 0.0000
Mn Mo N
21 2 6
direct
0.0000 0.0000 0.0000 Mn
0.0000 0.0000 0.3312 Mn
0.0000 0.0000 0.6688 Mn
0.0000 0.3312 0.0000 Mn
0.0000 0.3312 0.6688 Mn
0.0000 0.6688 0.0000 Mn
0.0000 0.6688 0.3312 Mn
0.1519 0.6160 0.6160 Mn
0.3312 0.0000 0.0000 Mn
0.3312 0.0000 0.6688 Mn
0.3312 0.6688 0.0000 Mn
0.3840 0.3840 0.3840 Mn
0.3840 0.3840 0.8481 Mn
0.3840 0.8481 0.3840 Mn
0.6160 0.1519 0.6160 Mn
0.6160 0.6160 0.1519 Mn
0.6160 0.6160 0.6160 Mn
0.6688 0.0000 0.0000 Mn
0.6688 0.0000 0.3312 Mn
0.6688 0.3312 0.0000 Mn
0.8481 0.3840 0.3840 Mn
0.2500 0.2500 0.2500 Mo
0.7500 0.7500 0.7500 Mo
0.2739 0.2739 0.7261 N
0.2739 0.7261 0.2739 N
0.2739 0.7261 0.7261 N
0.7261 0.2739 0.2739 N
0.7261 0.2739 0.7261 N
0.7261 0.7261 0.2739 N
```

Main lines, in order of rising 2θ (2θ = 10–90°):
2θ = 38.49°, I = 44; 2θ = 42.33°, I = 44; 2θ = 45.03°, I = 100; 2θ = 49.28°, I = 30; 2θ = 51.70°, I = 26; 2θ = 52.49°, I = 8; 2θ = 58.53°, I = 14; 2θ = 74.85°, I = 13; 2θ = 77.42°, I = 27; 2θ = 79.32°, I = 12

***

[5]
This entry pairs a crystal structure of Na2MnMoN4 with its simulated PXRD pattern. Radiation: a wavelength of 1.5418 Å. Structure: the PBE geometry in Alexandria.

Atomic structure:
```
Na2MnMoN4
1.0
6.4189 0.0000 0.0000
0.0000 6.0542 0.0000
0.0000 0.0000 5.7894
Na Mn Mo N
4 2 2 8
direct
0.2481 0.2293 0.0000 Na
0.2519 0.7707 0.5000 Na
0.7481 0.7707 0.5000 Na
0.7519 0.2293 0.0000 Na
0.0000 0.6847 0.9994 Mn
0.5000 0.3153 0.4994 Mn
0.0000 0.3245 0.4994 Mo
0.5000 0.6755 0.9994 Mo
0.0000 0.5025 0.7618 N
0.0000 0.5040 0.2382 N
0.2400 0.8344 0.9984 N
0.2600 0.1656 0.4984 N
0.5000 0.4960 0.7382 N
0.5000 0.4975 0.2618 N
0.7400 0.1656 0.4984 N
0.7600 0.8344 0.9984 N
```

Main lines, in order of rising 2θ (2θ = 10–90°):
2θ = 14.63°, I = 48; 2θ = 21.23°, I = 95; 2θ = 29.51°, I = 25; 2θ = 30.89°, I = 55; 2θ = 31.55°, I = 33; 2θ = 33.40°, I = 25; 2θ = 35.24°, I = 100; 2θ = 43.25°, I = 33; 2θ = 43.99°, I = 32; 2θ = 63.20°, I = 28